(1)
Structure and computed X-ray diffraction stick pattern of CaEuZr2O6 (DFT lattice parameters and positions (PBE); Cu Ka).
Intensities are scaled so that the largest is 100.

Principal peaks in the range 2θ = 10–90°, low angle first:
2θ (°), intensity
15.37, 26
26.24, 16
30.55, 100
31.03, 60
43.04, 19
44.36, 15
44.55, 15
54.00, 24
54.84, 23
54.96, 23

Structure:
abc: 5.7642 5.7642 4.2031
angles: 90.00 90.00 90.22
Fractional coordinates of all 10 atoms:
Ca1 0.0000 0.0000 0.0000
Eu1 0.5000 0.5000 0.0000
Zr1 0.0000 0.5000 0.5000
Zr2 0.5000 0.0000 0.5000
O1 0.0000 0.5000 0.0000
O2 0.1776 0.1776 0.5000
O3 0.3197 0.6803 0.5000
O4 0.5000 0.0000 0.0000
O5 0.6803 0.3197 0.5000
O6 0.8224 0.8224 0.5000



(2)
Structure and computed X-ray diffraction stick pattern of CaEu2Pb (DFT lattice parameters and positions (PBE); Cu Ka).
Intensities are scaled so that the largest is 100.

Principal peaks in the range 2θ = 10–90°, low angle first:
2θ (°), intensity
17.28, 16
24.53, 15
30.16, 100
34.97, 51
39.25, 9
50.28, 36
59.76, 43
62.71, 12
81.80, 18
84.41, 17

Structure:
abc: 5.1324 5.1324 5.1316
angles: 90.00 90.00 90.00
Fractional coordinates of all 4 atoms:
Ca1 0.0000 0.0000 0.0000
Eu1 0.0000 0.5000 0.5000
Eu2 0.5000 0.0000 0.5000
Pb1 0.5000 0.5000 0.0000



(3)
Structure and computed X-ray diffraction stick pattern of Ca2PrEu (DFT lattice parameters and positions (PBE); Cu Ka).
Intensities are scaled so that the largest is 100.

Principal peaks in the range 2θ = 10–90°, low angle first:
2θ (°), intensity
19.71, 19
21.04, 32
28.99, 100
29.93, 46
36.10, 17
40.04, 10
42.84, 17
50.79, 20
52.56, 37
60.08, 12

Structure:
abc: 4.2215 4.2215 9.0078
angles: 90.00 90.00 90.00
Fractional coordinates of all 4 atoms:
Ca1 0.0000 0.0000 0.2404
Ca2 0.0000 0.0000 0.7596
Pr1 0.5000 0.5000 0.0000
Eu1 0.5000 0.5000 0.5000



(4)
Structure and computed X-ray diffraction stick pattern of CaTbPrEu (DFT lattice parameters and positions (PBE); Cu Ka).
Intensities are scaled so that the largest is 100.

Principal peaks in the range 2θ = 10–90°, low angle first:
2θ (°), intensity
18.28, 12
21.13, 4
30.06, 100
35.41, 7
43.03, 19
53.38, 40
62.49, 12
70.89, 17
78.88, 4
86.65, 20

Structure:
abc: 8.4078 8.4078 8.4078
angles: 90.00 90.00 90.00
Fractional coordinates of all 16 atoms:
Ca1 0.0000 0.0000 0.0000
Ca2 0.0000 0.5000 0.5000
Ca3 0.5000 0.0000 0.5000
Ca4 0.5000 0.5000 0.0000
Tb1 0.0000 0.0000 0.5000
Tb2 0.0000 0.5000 0.0000
Tb3 0.5000 0.0000 0.0000
Tb4 0.5000 0.5000 0.5000
Pr1 0.2500 0.2500 0.2500
Pr2 0.2500 0.7500 0.7500
Pr3 0.7500 0.2500 0.7500
Pr4 0.7500 0.7500 0.2500
Eu1 0.2500 0.2500 0.7500
Eu2 0.2500 0.7500 0.2500
Eu3 0.7500 0.2500 0.2500
Eu4 0.7500 0.7500 0.7500